No. 1
Theoretical powder diffractogram of Cs2MnPbO4 for λ = 1.5418 Å (Cu Kα), from a crystal structure in Alexandria, relaxed with PBE+U.
Intensities are scaled so that the largest is 100.

Top 6 peaks for 2θ = 15–90°, by intensity:
- 28.96°, intensity 100
- 27.75°, intensity 33
- 25.74°, intensity 29
- 38.20°, intensity 27
- 49.84°, intensity 24
- 60.01°, intensity 15

Crystal structure
a b c (Å): 6.4301 8.1534 6.9231
angles (deg): 90.00 90.00 90.00
Element x y z (fractional)
Cs (0.2500, 0.0079, 0.2292)
Cs (0.2500, 0.4921, 0.2292)
Cs (0.7500, 0.5079, 0.7708)
Cs (0.7500, 0.9921, 0.7708)
Mn (0.2500, 0.7500, 0.6545)
Mn (0.7500, 0.2500, 0.3455)
Pb (0.2500, 0.2500, 0.7068)
Pb (0.7500, 0.7500, 0.2932)
O (0.0043, 0.7500, 0.5037)
O (0.2500, 0.5619, 0.7820)
O (0.2500, 0.9381, 0.7820)
O (0.4957, 0.7500, 0.5037)
O (0.5043, 0.2500, 0.4963)
O (0.7500, 0.0619, 0.2180)
O (0.7500, 0.4381, 0.2180)
O (0.9957, 0.2500, 0.4963)


No. 2
Theoretical powder diffractogram of Cs2PuMnO6 for λ = 1.5418 Å (Cu Kα), from a crystal structure in Alexandria, relaxed with PBE+U.
Intensities are scaled so that the largest is 100.

Top 6 peaks for 2θ = 15–90°, by intensity:
- 27.45°, intensity 100
- 17.50°, intensity 35
- 31.25°, intensity 34
- 53.33°, intensity 32
- 55.43°, intensity 21
- 32.87°, intensity 20

Crystal structure
a b c (Å): 6.7880 6.7880 6.7880
angles (deg): 130.12 130.12 73.21
Element x y z (fractional)
Cs (0.2500, 0.7500, 0.5000)
Cs (0.7500, 0.2500, 0.5000)
Pu (0.0000, 0.0000, 0.0000)
Mn (0.5000, 0.5000, 0.0000)
O (0.1724, 0.1724, 0.0000)
O (0.2624, 0.2624, 0.5248)
O (0.2624, 0.7376, 0.0000)
O (0.7376, 0.2624, 0.0000)
O (0.7376, 0.7376, 0.4752)
O (0.8276, 0.8276, 0.0000)